Diffraction record for Sr3Mg7Zn2. The X-ray powder pattern is computed, not measured: it uses a PBE-relaxed structure and Cu Kα, 1.54184 Å.
Intensities are scaled so that the largest is 100.

Top 10 peaks for 2θ from 10° to 80°, sorted by position:
two_theta	I/Imax
18.3	21
27.0	24
28.3	67
29.5	15
32.9	17
33.9	100
50.0	13
53.7	26
55.6	19
58.5	20

```
Sr3Mg7Zn2
1.0
3.1572 1.8228 9.6818
-3.1572 1.8228 9.6818
0.0000 -3.6456 9.6818
Sr Mg Zn
3 7 2
Cartesian
0.0000 0.0000 0.0000 Sr
0.0000 0.0000 4.1695 Sr
0.0000 0.0000 24.8761 Sr
-1.5853 -0.9153 11.8638 Mg
0.0000 -1.8306 17.1817 Mg
-1.5853 0.9153 17.1817 Mg
0.0000 0.0000 14.5228 Mg
1.5853 -0.9153 11.8638 Mg
0.0000 1.8306 11.8638 Mg
1.5853 0.9153 17.1817 Mg
0.0000 0.0000 9.6997 Zn
0.0000 0.0000 19.3458 Zn
```

Diffraction record for CeSmGaSn. The X-ray powder pattern is computed, not measured: it uses a PBE-relaxed structure and Cu Kα, 1.54184 Å.
Intensities are scaled so that the largest is 100.

Top 10 peaks for 2θ from 10° to 80°, sorted by position:
two_theta	I/Imax
29.5	35
30.5	100
31.4	81
33.5	71
37.9	99
42.2	73
53.5	51
58.0	41
61.2	24
69.9	19

```
CeSmGaSn
1.0
4.2840 0.0000 0.0000
0.0000 4.2840 0.0000
0.0000 0.0000 11.3948
Ce Sm Ga Sn
2 2 2 2
Cartesian
1.0710 3.2130 0.0000 Ce
3.2130 1.0710 0.0000 Ce
1.0710 1.0710 3.1718 Sm
3.2130 3.2130 8.2230 Sm
1.0710 1.0710 9.1146 Ga
3.2130 3.2130 2.2802 Ga
1.0710 1.0710 6.3166 Sn
3.2130 3.2130 5.0782 Sn
```

Diffraction record for K2H2I. The X-ray powder pattern is computed, not measured: it uses a PBE-relaxed structure and Cu Kα, 1.54184 Å.
Intensities are scaled so that the largest is 100.

Top 10 peaks for 2θ from 10° to 80°, sorted by position:
two_theta	I/Imax
10.7	100
20.6	59
23.4	53
25.4	87
26.3	22
34.5	38
35.1	33
35.2	18
35.8	19
42.7	20

```
K2H2I
1.0
4.4555 -2.5473 0.0000
4.4555 2.5473 0.0000
-3.8616 0.0000 8.2460
K H I
2 2 1
Cartesian
1.0496 0.0000 2.0324 K
3.9999 0.0000 6.2137 K
4.0696 0.0000 0.0427 H
0.9798 0.0000 8.2034 H
-1.9308 0.0000 4.1230 I
```

Diffraction record for Ca10Ge6F. The X-ray powder pattern is computed, not measured: it uses a PBE-relaxed structure and Cu Kα, 1.54184 Å.
Intensities are scaled so that the largest is 100.

Top 10 peaks for 2θ from 10° to 80°, sorted by position:
two_theta	I/Imax
20.2	29
31.6	100
32.7	16
33.6	46
36.7	55
40.2	17
42.5	15
52.8	16
63.3	13
66.6	14

```
Ca10Ge6F
1.0
-3.8750 3.8750 7.3491
3.8750 -3.8750 7.3491
3.8750 3.8750 -7.3491
Ca Ge F
10 6 1
Cartesian
2.5011 -2.5011 5.7428 Ca
2.5821 2.5821 -1.4950 Ca
3.8750 0.0000 3.6746 Ca
1.3740 1.3740 1.6064 Ca
1.2929 -1.2929 8.8441 Ca
1.2929 1.2929 5.8542 Ca
-2.5011 2.5011 5.7428 Ca
0.0000 3.8750 3.6746 Ca
-1.2929 1.2929 8.8441 Ca
2.5011 2.5011 8.9555 Ca
3.8750 0.0000 0.0000 Ge
0.9175 -0.9175 3.6288 Ge
-0.9175 0.9175 3.6288 Ge
0.0000 3.8750 0.0000 Ge
2.9576 2.9576 3.7203 Ge
0.9175 0.9175 11.0695 Ge
0.0000 0.0000 7.3491 F
```

Diffraction record for AcScSeS2. The X-ray powder pattern is computed, not measured: it uses a PBE-relaxed structure and Cu Kα, 1.54184 Å.
Intensities are scaled so that the largest is 100.

Top 10 peaks for 2θ from 10° to 80°, sorted by position:
two_theta	I/Imax
17.0	41
25.0	58
26.0	88
31.2	100
34.3	39
37.1	49
41.0	31
43.5	45
45.3	39
51.4	38

```
AcScSeS2
1.0
-3.4303 3.4303 5.2299
3.4303 -3.4303 5.2299
3.4303 3.4303 -5.2299
Ac Sc Se S
2 2 2 4
Cartesian
3.4303 0.0000 2.6149 Ac
0.0000 3.4303 2.6149 Ac
0.0000 0.0000 0.0000 Sc
0.0000 0.0000 5.2299 Sc
0.0000 0.0000 2.6149 Se
0.0000 0.0000 7.8448 Se
4.6087 1.1784 0.0000 S
1.1784 2.2519 0.0000 S
2.2519 1.1784 5.2299 S
-1.1784 2.2519 5.2299 S
```

Diffraction record for SrAlCdAg2. The X-ray powder pattern is computed, not measured: it uses a PBE-relaxed structure and Cu Kα, 1.54184 Å.
Intensities are scaled so that the largest is 100.

Top 10 peaks for 2θ from 10° to 80°, sorted by position:
two_theta	I/Imax
15.4	17
30.1	12
30.7	11
31.7	100
38.5	23
40.3	20
42.0	23
57.0	14
65.4	12
68.0	10

```
SrAlCdAg2
1.0
-2.2363 2.3386 5.7663
2.2363 -2.3386 5.7663
2.2363 2.3386 -5.7663
Sr Al Cd Ag
1 1 1 2
Cartesian
0.0000 0.0000 0.0000 Sr
0.0000 0.0000 7.1819 Al
2.2363 0.0000 2.8527 Cd
0.0000 0.0000 4.6199 Ag
0.0000 2.3386 2.8388 Ag
```

Diffraction record for LaTb3Er4. The X-ray powder pattern is computed, not measured: it uses a PBE-relaxed structure and Cu Kα, 1.54184 Å.
Intensities are scaled so that the largest is 100.

Top 10 peaks for 2θ from 10° to 80°, sorted by position:
two_theta	I/Imax
28.4	16
28.5	8
31.6	24
32.6	100
43.0	16
50.4	13
56.9	21
60.5	8
60.7	15
61.1	11

```
LaTb3Er4
1.0
11.3340 0.0000 0.0000
0.0000 7.2754 0.0000
0.0000 0.0000 6.2694
La Tb Er
2 6 8
Cartesian
0.0000 0.9138 0.0000 La
5.6670 6.3617 3.1347 La
0.0000 6.3390 3.1532 Tb
2.8210 0.9319 2.1159 Tb
2.8460 6.3436 5.2506 Tb
5.6670 0.9364 0.0185 Tb
8.4880 6.3436 5.2506 Tb
8.5130 0.9319 2.1159 Tb
0.0000 2.7607 3.1556 Er
0.0000 4.5312 0.0232 Er
2.8090 4.5287 2.1140 Er
2.8580 2.7467 5.2488 Er
5.6670 2.7442 3.1579 Er
5.6670 4.5148 0.0209 Er
8.4760 2.7467 5.2488 Er
8.5250 4.5287 2.1140 Er
```

Diffraction record for Ti5MoAu2. The X-ray powder pattern is computed, not measured: it uses a PBE-relaxed structure and Cu Kα, 1.54184 Å.
Intensities are scaled so that the largest is 100.

Top 10 peaks for 2θ from 10° to 80°, sorted by position:
two_theta	I/Imax
14.0	29
27.5	30
28.1	15
31.0	27
39.3	52
39.8	100
49.0	14
56.8	17
71.5	34
72.5	16

```
Ti5MoAu2
1.0
-2.2927 2.2927 6.3433
2.2927 -2.2927 6.3433
2.2927 2.2927 -6.3433
Ti Mo Au
5 1 2
Cartesian
0.0000 0.0000 0.0000 Ti
2.2927 0.0000 1.4906 Ti
2.2927 0.0000 4.8528 Ti
0.0000 2.2927 1.4906 Ti
0.0000 2.2927 4.8528 Ti
0.0000 0.0000 6.3433 Mo
0.0000 0.0000 3.1464 Au
0.0000 0.0000 9.5403 Au
```

Diffraction record for Y3Ga12Au. The X-ray powder pattern is computed, not measured: it uses a PBE-relaxed structure and Cu Kα, 1.54184 Å.
Intensities are scaled so that the largest is 100.

Top 10 peaks for 2θ from 10° to 80°, sorted by position:
two_theta	I/Imax
10.5	5
20.7	4
36.5	100
42.2	34
43.0	15
61.1	11
61.8	19
73.4	25
74.6	10
77.6	10

```
Y3Ga12Au
1.0
4.2877 0.0000 0.0000
0.0000 4.2877 0.0000
0.0000 0.0000 16.8252
Y Ga Au
3 12 1
Cartesian
0.0000 0.0000 0.0000 Y
0.0000 0.0000 4.3146 Y
0.0000 0.0000 12.5106 Y
0.0000 2.1439 2.1570 Ga
0.0000 2.1439 6.5177 Ga
0.0000 2.1439 10.3075 Ga
0.0000 2.1439 14.6682 Ga
2.1439 0.0000 2.1570 Ga
2.1439 0.0000 6.5177 Ga
2.1439 0.0000 10.3075 Ga
2.1439 0.0000 14.6682 Ga
2.1439 2.1439 0.0000 Ga
2.1439 2.1439 4.1538 Ga
2.1439 2.1439 8.4126 Ga
2.1439 2.1439 12.6714 Ga
0.0000 0.0000 8.4126 Au
```

Diffraction record for Ga6TcPt. The X-ray powder pattern is computed, not measured: it uses a PBE-relaxed structure and Cu Kα, 1.54184 Å.
Intensities are scaled so that the largest is 100.

Top 10 peaks for 2θ from 10° to 80°, sorted by position:
two_theta	I/Imax
18.3	100
26.0	8
37.1	47
41.6	24
41.7	24
53.5	22
56.9	6
57.0	11
57.1	6
70.0	7

```
Ga6TcPt
1.0
5.9386 -3.4193 0.0000
5.9386 3.4193 0.0000
-3.9699 0.0000 5.6115
Ga Tc Pt
6 1 1
Cartesian
1.9546 0.0000 1.3851 Ga
4.9573 1.7284 1.3844 Ga
2.9500 1.7284 4.2270 Ga
4.9573 -1.7284 1.3844 Ga
2.9500 -1.7284 4.2270 Ga
5.9528 0.0000 4.2264 Ga
0.0000 0.0000 0.0000 Tc
3.9537 0.0000 2.8057 Pt
```

Diffraction record for K2FeNiC6N6. The X-ray powder pattern is computed, not measured: it uses a PBE-relaxed structure and Cu Kα, 1.54184 Å.
Intensities are scaled so that the largest is 100.

Top 10 peaks for 2θ from 10° to 80°, sorted by position:
two_theta	I/Imax
17.4	44
24.7	100
30.4	6
35.2	57
39.5	7
43.5	26
50.6	26
57.1	29
68.9	23
79.8	9

```
K2FeNiC6N6
1.0
0.0000 5.0990 5.0990
5.0990 0.0000 5.0990
5.0990 5.0990 0.0000
K Fe Ni C N
2 1 1 6 6
Cartesian
2.5495 2.5495 2.5495 K
7.6485 7.6485 7.6485 K
0.0000 0.0000 0.0000 Fe
5.0990 5.0990 5.0990 Ni
5.0990 5.0990 1.8765 C
5.0990 1.8765 5.0990 C
8.3215 5.0990 5.0990 C
1.8765 5.0990 5.0990 C
5.0990 8.3215 5.0990 C
5.0990 5.0990 8.3215 C
5.0990 5.0990 3.0560 N
5.0990 3.0560 5.0990 N
7.1420 5.0990 5.0990 N
3.0560 5.0990 5.0990 N
5.0990 7.1420 5.0990 N
5.0990 5.0990 7.1420 N
```

Diffraction record for AcEu2Cl. The X-ray powder pattern is computed, not measured: it uses a PBE-relaxed structure and Cu Kα, 1.54184 Å.
Intensities are scaled so that the largest is 100.

Top 10 peaks for 2θ from 10° to 80°, sorted by position:
two_theta	I/Imax
24.7	31
26.2	20
28.3	100
29.5	37
34.3	44
45.0	24
46.0	30
52.9	25
54.9	16
74.4	13

```
AcEu2Cl
1.0
1.9725 1.1388 10.8210
-1.9725 1.1388 10.8210
0.0000 -2.2777 10.8210
Ac Eu Cl
1 2 1
Cartesian
0.0000 0.0000 0.0000 Ac
0.0000 0.0000 7.5489 Eu
0.0000 0.0000 24.9140 Eu
0.0000 0.0000 16.2315 Cl
```